Entry 1:
The following is a calculated powder diffraction line list of TiFeCoSb. It was derived from a crystal structure in the Materials Project, relaxed with GGA-PBE, using Cu Kα X-rays.
Lines closer than 0.1° are merged.

a b c (Å): 6.0791 6.0791 6.0791
angles (deg): 90.00 90.00 90.00
Space group F-43m (No. 216)
Symmetry-distinct sites (fractional):
Ti 0.0000 0.0000 0.0000
Fe 0.2500 0.2500 0.2500
Co 0.2500 0.2500 0.7500
Sb 0.0000 0.0000 0.5000

Peak list (10 most intense, 10° ≤ 2θ ≤ 90°, in order of falling intensity)
| index | 2θ/deg | I (rel.) |
| --- | --- | --- |
| 2 2 0 | 42.04 | 100 |
| 4 2 2 | 76.82 | 31 |
| 1 1 1 | 25.38 | 16 |
| 4 0 0 | 60.96 | 16 |
| 3 1 1 | 49.74 | 8 |
| 2 0 0 | 29.38 | 3 |
| 3 3 1 | 67.11 | 3 |
| 5 1 1 | 82.44 | 3 |
| 4 2 0 | 69.10 | 1 |
| 2 2 2 | 52.12 | 1 |


Entry 2:
The following is a calculated powder diffraction line list of VFeCoSb. It was derived from a crystal structure in the Materials Project, relaxed with GGA-PBE, using Cu Kα X-rays.
Lines closer than 0.1° are merged.

a b c (Å): 6.0043 6.0043 6.0043
angles (deg): 90.00 90.00 90.00
Space group F-43m (No. 216)
Symmetry-distinct sites (fractional):
V 0.0000 0.0000 0.0000
Fe 0.2500 0.2500 0.2500
Co 0.2500 0.2500 0.7500
Sb 0.0000 0.0000 0.5000

Peak list (10 most intense, 10° ≤ 2θ ≤ 90°, in order of falling intensity)
| index | 2θ/deg | I (rel.) |
| --- | --- | --- |
| 2 2 0 | 42.59 | 100 |
| 4 2 2 | 77.95 | 30 |
| 4 0 0 | 61.80 | 15 |
| 1 1 1 | 25.70 | 15 |
| 3 1 1 | 50.41 | 8 |
| 2 0 0 | 29.76 | 4 |
| 3 3 1 | 68.06 | 3 |
| 5 1 1 | 83.70 | 3 |
| 4 2 0 | 70.09 | 1 |
| 2 2 2 | 52.82 | 1 |


Entry 3:
The following is a calculated powder diffraction line list of FeCo2Se4. It was derived from a crystal structure in the Materials Project, relaxed with GGA-PBE, using Cu Kα X-rays.
Lines closer than 0.1° are merged.

a b c (Å): 12.1987 3.5511 6.1994
angles (deg): 90.00 119.81 90.00
Space group C2/m (No. 12)
Symmetry-distinct sites (fractional):
Fe 0.0000 0.0000 0.0000
Co 0.2390 0.5000 0.7206
Se 0.1259 0.0000 0.4546
Se 0.1376 0.5000 0.9757

Peak list (10 most intense, 10° ≤ 2θ ≤ 90°, in order of falling intensity)
| index | 2θ/deg | I (rel.) |
| --- | --- | --- |
| 1 1 1 | 33.56 | 100 |
| 4 0 -2 | 33.72 | 98 |
| 3 1 -3 | 51.15 | 69 |
| 6 0 -2 | 45.33 | 65 |
| 3 1 1 | 45.02 | 58 |
| 0 2 0 | 51.47 | 35 |
| 2 0 0 | 16.72 | 34 |
| 0 0 2 | 33.31 | 26 |
| 7 1 -1 | 60.66 | 24 |
| 2 0 2 | 44.75 | 17 |


Entry 4:
The following is a calculated powder diffraction line list of FeCo2Se4. It was derived from a crystal structure in the Materials Project, relaxed with GGA-PBE, using Cu Kα X-rays.
Lines closer than 0.1° are merged.

a b c (Å): 11.9221 3.5344 6.1291
angles (deg): 90.00 118.59 90.00
Space group Cm (No. 8)
Symmetry-distinct sites (fractional):
Fe 0.0000 0.0000 0.0000
Co 0.2423 0.5000 0.7147
Co 0.4765 0.0000 0.4219
Se 0.1052 0.0000 0.7347
Se 0.1224 0.5000 0.2639
Se 0.3576 0.5000 0.1636
Se 0.3750 0.0000 0.6870

Peak list (10 most intense, 10° ≤ 2θ ≤ 90°, in order of falling intensity)
| index | 2θ/deg | I (rel.) |
| --- | --- | --- |
| 1 1 1 | 33.62 | 100 |
| 0 2 0 | 51.72 | 99 |
| 4 0 -2 | 34.53 | 51 |
| 3 1 -1 | 34.24 | 51 |
| 3 1 1 | 45.12 | 48 |
| 5 1 -1 | 46.08 | 44 |
| 0 0 2 | 33.30 | 28 |
| 6 0 -2 | 46.55 | 22 |
| 8 0 0 | 72.15 | 21 |
| 2 0 2 | 44.63 | 18 |


Entry 5:
The following is a calculated powder diffraction line list of FeCoSe2. It was derived from a crystal structure in the Materials Project, relaxed with GGA-PBE, using Cu Kα X-rays.
Lines closer than 0.1° are merged.

a b c (Å): 3.5807 3.5807 5.2374
angles (deg): 90.00 90.00 120.00
Space group P-3m1 (No. 164)
Symmetry-distinct sites (fractional):
Fe 0.0000 0.0000 0.0000
Co 0.0000 0.0000 0.5000
Se 0.3333 0.6667 0.2479

Peak list (10 most intense, 10° ≤ 2θ ≤ 90°, in order of falling intensity)
| index | 2θ/deg | I (rel.) |
| --- | --- | --- |
| 1 0 1 | 33.59 | 100 |
| 0 1 2 | 45.33 | 89 |
| 1 1 0 | 51.01 | 61 |
| 2 0 2 | 70.60 | 22 |
| 0 1 3 | 60.90 | 17 |
| 0 2 1 | 62.47 | 16 |
| 2 1 1 | 84.76 | 14 |
| 2 0 3 | 83.36 | 7 |
| 1 0 0 | 28.79 | 7 |
| 0 0 4 | 72.14 | 7 |


Entry 6:
The following is a calculated powder diffraction line list of UFe5Co5Si2. It was derived from a crystal structure in the Materials Project, relaxed with GGA-PBE, using Cu Kα X-rays.
Lines closer than 0.1° are merged.

a b c (Å): 11.4370 4.8241 8.0632
angles (deg): 90.00 134.78 90.00
Space group Cm (No. 8)
Symmetry-distinct sites (fractional):
U 0.0000 0.0000 0.0000
Fe 0.2506 0.2509 0.0042
Fe 0.2753 0.0000 0.7752
Fe 0.4984 0.0000 0.2199
Fe 0.4990 0.0000 0.7780
Co 0.0041 0.0000 0.3492
Co 0.1539 0.5000 0.6505
Co 0.2273 0.5000 0.2308
Co 0.3456 0.0000 0.3502
Co 0.4988 0.5000 0.6555
Si 0.2498 0.2504 0.4986

Peak list (10 most intense, 10° ≤ 2θ ≤ 90°, in order of falling intensity)
| index | 2θ/deg | I (rel.) |
| --- | --- | --- |
| 1 1 -3 | 44.51 | 100 |
| 2 2 -2 | 43.69 | 75 |
| 3 1 -1 | 30.89 | 68 |
| 4 0 0 | 44.62 | 64 |
| 3 1 -3 | 38.34 | 39 |
| 3 1 0 | 38.13 | 39 |
| 1 1 0 | 21.45 | 38 |
| 0 0 1 | 15.48 | 37 |
| 0 2 0 | 37.28 | 36 |
| 1 3 -3 | 72.29 | 31 |


Entry 7:
The following is a calculated powder diffraction line list of Sm4Fe31Co3. It was derived from a crystal structure in the Materials Project, relaxed with GGA-PBE, using Cu Kα X-rays.
Lines closer than 0.1° are merged.

a b c (Å): 6.4240 6.4470 12.8699
angles (deg): 82.75 82.42 82.61
Space group P1 (No. 1)
Symmetry-distinct sites (fractional):
Sm 0.0000 0.0000 0.0000
Sm 0.0007 0.0006 0.4995
Sm 0.6842 0.6816 0.8416
Sm 0.6856 0.6831 0.3412
Fe 0.0474 0.3414 0.8174
Fe 0.0491 0.3420 0.3169
Fe 0.0488 0.6340 0.1709
Fe 0.0516 0.6323 0.6709
Fe 0.1819 0.6848 0.3422
Fe 0.1838 0.6837 0.8426
Fe 0.2461 0.2444 0.6224
Fe 0.2466 0.2446 0.1222
Fe 0.3409 0.0496 0.8164
Fe 0.3412 0.3421 0.9204
Fe 0.3417 0.0515 0.3159
Fe 0.3419 0.3429 0.4202
Fe 0.3424 0.6319 0.5252
Fe 0.3423 0.6327 0.0254
Fe 0.3424 0.8404 0.6709
Fe 0.3419 0.8407 0.1712
Fe 0.4389 0.4371 0.2184
Fe 0.4385 0.4371 0.7186
Fe 0.4966 0.9988 0.4991
Fe 0.4965 0.9995 0.9992
Fe 0.6337 0.0499 0.6699
Fe 0.6363 0.0466 0.1703
Fe 0.6362 0.3411 0.0234
Fe 0.6357 0.3411 0.5231
Fe 0.6837 0.1848 0.8413
Fe 0.6847 0.1827 0.3412
Fe 0.6847 0.6826 0.0914
Fe 0.6859 0.6837 0.5913
Fe 0.8422 0.3418 0.6701
Fe 0.8425 0.3410 0.1703
Fe 0.9990 0.9993 0.7480
Co 0.0015 0.0020 0.2484
Co 0.0013 0.4972 0.5004
Co 0.0020 0.4969 0.0008

Peak list (10 most intense, 10° ≤ 2θ ≤ 90°, in order of falling intensity)
| index | 2θ/deg | I (rel.) |
| --- | --- | --- |
| -1 2 4 | 42.83 | 100 |
| 2 0 -4 | 42.70 | 79 |
| 2 2 4 | 43.45 | 62 |
| 1 0 4 | 30.04 | 58 |
| 1 1 -4 | 36.70 | 40 |
| 2 0 4 | 37.77 | 39 |
| 0 2 -4 | 42.46 | 31 |
| 2 -2 0 | 42.57 | 31 |
| 1 -2 2 | 36.55 | 20 |
| 2 4 0 | 62.39 | 18 |


Entry 8:
The following is a calculated powder diffraction line list of Sm2Fe4Co13. It was derived from a crystal structure in the Materials Project, relaxed with GGA-PBE, using Cu Kα X-rays.
Lines closer than 0.1° are merged.

a b c (Å): 8.3793 8.3793 12.3211
angles (deg): 90.00 90.00 120.00
Space group R3m (No. 160, hexagonal axes)
Symmetry-distinct sites (fractional):
Sm 0.0000 0.0000 0.0000
Sm 0.0000 0.0000 0.3138
Fe 0.0000 0.0000 0.7506
Fe 0.0045 0.5022 0.1566
Co 0.0000 0.0000 0.5598
Co 0.0001 0.2871 0.6569
Co 0.0012 0.5006 0.8133
Co 0.0028 0.5014 0.5014

Peak list (10 most intense, 10° ≤ 2θ ≤ 90°, in order of falling intensity)
| index | 2θ/deg | I (rel.) |
| --- | --- | --- |
| 3 0 3 | 43.42 | 100 |
| 2 2 0 | 43.19 | 64 |
| 3 0 0 | 37.17 | 40 |
| 1 1 3 | 30.48 | 39 |
| 0 0 6 | 44.10 | 33 |
| 0 2 4 | 38.33 | 31 |
| 2 2 6 | 63.47 | 27 |
| 6 0 0 | 79.20 | 23 |
| 2 2 3 | 48.80 | 22 |
| 2 1 4 | 44.22 | 19 |


Entry 9:
The following is a calculated powder diffraction line list of SmV2Fe5Co5. It was derived from a crystal structure in the Materials Project, relaxed with GGA-PBE, using Cu Kα X-rays.
Lines closer than 0.1° are merged.

a b c (Å): 4.6855 8.4499 8.4690
angles (deg): 90.00 90.00 90.00
Space group Imm2 (No. 44)
Symmetry-distinct sites (fractional):
Sm 0.0000 0.0000 0.0000
V 0.0000 0.0000 0.3576
V 0.0000 0.0000 0.6394
Fe 0.0000 0.5000 0.2708
Fe 0.2502 0.2486 0.2487
Co 0.0000 0.2722 0.4979
Co 0.0000 0.3595 0.0000
Co 0.0000 0.5000 0.7254

Peak list (10 most intense, 10° ≤ 2θ ≤ 90°, in order of falling intensity)
| index | 2θ/deg | I (rel.) |
| --- | --- | --- |
| 1 3 2 | 43.12 | 100 |
| 2 0 2 | 44.19 | 69 |
| 1 2 1 | 30.37 | 42 |
| 1 3 0 | 37.22 | 41 |
| 0 0 4 | 42.71 | 34 |
| 0 4 0 | 42.81 | 29 |
| 2 2 2 | 49.42 | 27 |
| 3 3 2 | 72.74 | 19 |
| 2 0 0 | 38.42 | 16 |
| 0 3 1 | 33.51 | 14 |


Entry 10:
The following is a calculated powder diffraction line list of Tb2FeCo3. It was derived from a crystal structure in the Materials Project, relaxed with GGA-PBE, using Cu Kα X-rays.
Lines closer than 0.1° are merged.

a b c (Å): 5.1248 5.1248 11.9565
angles (deg): 90.00 90.00 120.00
Space group R-3m (No. 166, hexagonal axes)
Symmetry-distinct sites (fractional):
Tb 0.0000 0.0000 0.1269
Fe 0.0000 0.0000 0.5000
Co 0.0000 0.5000 0.0000

Peak list (10 most intense, 10° ≤ 2θ ≤ 90°, in order of falling intensity)
| index | 2θ/deg | I (rel.) |
| --- | --- | --- |
| 1 1 3 | 41.91 | 100 |
| 1 1 0 | 35.02 | 65 |
| 1 0 4 | 36.23 | 62 |
| 0 2 1 | 41.38 | 51 |
| 0 1 5 | 42.96 | 41 |
| 2 1 4 | 63.60 | 24 |
| 3 0 3 | 67.54 | 23 |
| 2 2 0 | 73.99 | 22 |
| 1 0 1 | 21.36 | 21 |
| 2 0 2 | 43.50 | 20 |


Entry 11:
The following is a calculated powder diffraction line list of FeCoTe2. It was derived from a crystal structure in the Materials Project, relaxed with GGA-PBE, using Cu Kα X-rays.
Lines closer than 0.1° are merged.

a b c (Å): 3.8773 3.8773 5.3549
angles (deg): 90.00 90.00 120.00
Space group P-3m1 (No. 164)
Symmetry-distinct sites (fractional):
Fe 0.0000 0.0000 0.0000
Co 0.0000 0.0000 0.5000
Te 0.3333 0.6667 0.2480

Peak list (10 most intense, 10° ≤ 2θ ≤ 90°, in order of falling intensity)
| index | 2θ/deg | I (rel.) |
| --- | --- | --- |
| 1 0 1 | 31.45 | 100 |
| 0 1 2 | 43.22 | 54 |
| 1 1 0 | 46.86 | 48 |
| 0 2 1 | 57.53 | 18 |
| 1 0 3 | 58.57 | 17 |
| 1 1 4 | 88.82 | 15 |
| 2 1 1 | 77.26 | 15 |
| 2 0 2 | 65.64 | 15 |
| 1 2 2 | 84.48 | 14 |
| 3 0 0 | 87.06 | 8 |


Entry 12:
The following is a calculated powder diffraction line list of Th2Fe5Co5. It was derived from a crystal structure in the Materials Project, relaxed with GGA-PBE, using Cu Kα X-rays.
Lines closer than 0.1° are merged.

a b c (Å): 3.9838 8.6600 5.0283
angles (deg): 90.00 90.00 90.00
Space group Pmm2 (No. 25)
Symmetry-distinct sites (fractional):
Th 0.0000 0.0000 0.0000
Th 0.0000 0.5000 0.4960
Fe 0.5000 0.0000 0.4969
Fe 0.5000 0.2531 0.2461
Fe 0.5000 0.2545 0.7481
Co 0.0000 0.1640 0.5098
Co 0.0000 0.3279 0.0066
Co 0.5000 0.5000 0.9891

Peak list (10 most intense, 10° ≤ 2θ ≤ 90°, in order of falling intensity)
| index | 2θ/deg | I (rel.) |
| --- | --- | --- |
| 1 1 1 | 30.45 | 100 |
| 1 3 1 | 42.65 | 91 |
| 1 0 2 | 42.52 | 45 |
| 0 3 1 | 35.87 | 37 |
| 0 2 2 | 41.53 | 34 |
| 2 0 0 | 45.54 | 31 |
| 0 2 0 | 20.45 | 25 |
| 1 3 3 | 68.94 | 21 |
| 1 0 0 | 22.32 | 20 |
| 3 3 1 | 82.14 | 19 |


Entry 13:
The following is a calculated powder diffraction line list of ThFe2Co3. It was derived from a crystal structure in the Materials Project, relaxed with GGA-PBE, using Cu Kα X-rays.
Lines closer than 0.1° are merged.

a b c (Å): 4.9912 8.6098 4.0308
angles (deg): 90.00 90.00 90.00
Space group Cmmm (No. 65)
Symmetry-distinct sites (fractional):
Th 0.0000 0.0000 0.0000
Fe 0.2500 0.2500 0.5000
Co 0.0000 0.3236 0.0000
Co 0.0000 0.5000 0.5000

Peak list (10 most intense, 10° ≤ 2θ ≤ 90°, in order of falling intensity)
| index | 2θ/deg | I (rel.) |
| --- | --- | --- |
| 1 3 1 | 42.68 | 100 |
| 1 1 1 | 30.35 | 75 |
| 1 3 0 | 36.10 | 26 |
| 0 0 2 | 44.98 | 24 |
| 2 2 0 | 41.84 | 23 |
| 2 0 2 | 58.95 | 19 |
| 1 1 0 | 20.59 | 18 |
| 3 3 1 | 69.32 | 15 |
| 0 0 1 | 22.05 | 15 |
| 1 3 3 | 81.38 | 15 |


Entry 14:
The following is a calculated powder diffraction line list of Ti2FeCo. It was derived from a crystal structure in the Materials Project, relaxed with GGA-PBE, using Cu Kα X-rays.
Lines closer than 0.1° are merged.

a b c (Å): 5.9433 5.9433 5.9433
angles (deg): 90.00 90.00 90.00
Space group Fm-3m (No. 225)
Symmetry-distinct sites (fractional):
Ti 0.2500 0.2500 0.2500
Fe 0.0000 0.0000 0.0000
Co 0.0000 0.0000 0.5000

Peak list (6 most intense, 10° ≤ 2θ ≤ 90°, in order of falling intensity)
| index | 2θ/deg | I (rel.) |
| --- | --- | --- |
| 2 2 0 | 43.05 | 100 |
| 4 2 2 | 78.91 | 28 |
| 4 0 0 | 62.51 | 15 |
| 2 0 0 | 30.07 | 2 |
| 4 2 0 | 70.91 | 1 |
| 2 2 2 | 53.40 | 1 |